Simulated powder XRD pattern
Compound: Na3Ge4Pt4
Radiation: a wavelength of 1.5418 Å
Structure: a crystal structure in the Materials Project, relaxed with GGA-PBE

Peak list (10 most intense, 2θ = 10–90°, sorted by position)
2θ/deg, I/Imax
16.2, 100.0
28.3, 35.4
36.8, 74.4
40.5, 22.1
43.9, 40.1
50.1, 43.8
61.2, 20.4
66.3, 17.1
75.9, 18.4
82.9, 13.4

Structural model:
```
data_Na3Ge4Pt4
_chemical_formula_sum 'Na3 Ge4 Pt4'
_symmetry_space_group_name_H-M 'P 1'
_symmetry_Int_Tables_number 1
_cell_length_a 6.689
_cell_length_b 6.689
_cell_length_c 6.689
_cell_angle_alpha 109.47
_cell_angle_beta 109.47
_cell_angle_gamma 109.47
loop_
_symmetry_equiv_pos_as_xyz
'x,y,z'
loop_
_atom_site_label
_atom_site_fract_x
_atom_site_fract_y
_atom_site_fract_z
Na1 0.000 0.500 0.500
Na2 0.500 0.000 0.500
Na3 0.500 0.500 0.000
Ge1 0.000 0.000 0.367
Ge2 0.000 0.367 0.000
Ge3 0.367 0.000 0.000
Ge4 0.633 0.633 0.633
Pt1 0.000 0.000 0.722
Pt2 0.000 0.722 0.000
Pt3 0.278 0.278 0.278
Pt4 0.722 0.000 0.000
```